The following is a computed PXRD pattern of Er2HgRh. It was derived from a structure optimized by DFT (GGA-PBE), using CuKα.
No peak broadening, texture or thermal motion is included.

Most intense lines, 10° ≤ 2θ ≤ 90°, low angle first:
2θ/deg  I (rel.)  hkl
21.7  48  1 1 1
35.9  1000  2 2 0
42.3  29  3 1 1
51.6  178  4 0 0
56.7  13  3 3 1
64.5  366  4 2 2
68.9  10  5 1 1
76.1  114  4 4 0
80.2  10  5 3 1
87.1  167  6 2 0

Cell and atoms:
```
data_Er2HgRh
_chemical_formula_sum 'Er8 Hg4 Rh4'
_cell_length_a 7.079
_cell_length_b 7.079
_cell_length_c 7.079
_cell_angle_alpha 90.00
_cell_angle_beta 90.00
_cell_angle_gamma 90.00
_space_group_name_H-M_alt 'F m -3 m'
_space_group_IT_number 225
_space_group_name_Hall '-F 4 2 3'
loop_
_atom_site_label
_atom_site_fract_x
_atom_site_fract_y
_atom_site_fract_z
_atom_site_occupancy
Er1 0.250 0.250 0.250 1
Hg1 0.000 0.000 0.000 1
Rh1 0.000 0.000 0.500 1
```

The following is a computed PXRD pattern of NaLi2MnH5. It was derived from a structure optimized by DFT (GGA-PBE), using CuKα.
No peak broadening, texture or thermal motion is included.

Most intense lines, 10° ≤ 2θ ≤ 90°, low angle first:
2θ/deg  I (rel.)  hkl
19.2  988  0 0 2
20.1  469  0 1 1
28.6  146  1 0 1
32.3  489  1 1 0
35.6  288  0 2 0
37.9  1000  1 1 2
39.0  205  0 0 4
40.8  272  0 2 2
51.5  252  1 1 4
53.8  180  0 2 4
65.5  178  1 3 2
69.9  189  2 0 4

Cell and atoms:
```
data_NaLi2MnH5
_chemical_formula_sum 'Na2 Li4 Mn2 H10'
_cell_length_a 3.312
_cell_length_b 5.041
_cell_length_c 9.243
_cell_angle_alpha 90.00
_cell_angle_beta 90.00
_cell_angle_gamma 90.00
_space_group_name_H-M_alt 'I m m m'
_space_group_IT_number 71
_space_group_name_Hall '-I 2 2'
loop_
_atom_site_label
_atom_site_fract_x
_atom_site_fract_y
_atom_site_fract_z
_atom_site_occupancy
Na1 0.000 0.000 0.000 1
Li1 0.000 0.500 0.217 1
Mn1 0.000 0.000 0.500 1
H1 0.000 0.225 0.367 1
H2 0.000 0.500 0.000 1
```

The following is a computed PXRD pattern of Nd3Dy2Er6. It was derived from a structure optimized by DFT (GGA-PBE), using CuKα.
No peak broadening, texture or thermal motion is included.

Most intense lines, 10° ≤ 2θ ≤ 90°, low angle first:
2θ/deg  I (rel.)  hkl
28.7  1000  1 1 4
30.7  274  1 0 9
32.4  212  0 0 12
34.4  812  1 1 8
38.0  626  2 0 0
49.6  145  2 1 9
50.8  242  2 0 12
54.8  225  2 2 0
62.5  191  1 1 20
63.0  218  3 1 4
66.3  244  3 1 8
87.8  184  3 1 20

Cell and atoms:
```
data_Nd3Dy2Er6
_chemical_formula_sum 'Nd6 Dy4 Er12'
_cell_length_a 4.740
_cell_length_b 4.740
_cell_length_c 33.154
_cell_angle_alpha 90.00
_cell_angle_beta 90.00
_cell_angle_gamma 90.00
_space_group_name_H-M_alt 'I 4/m m m'
_space_group_IT_number 139
_space_group_name_Hall '-I 4 2'
loop_
_atom_site_label
_atom_site_fract_x
_atom_site_fract_y
_atom_site_fract_z
_atom_site_occupancy
Nd1 0.000 0.000 0.000 1
Nd2 0.000 0.000 0.204 1
Dy1 0.000 0.000 0.454 1
Er1 0.000 0.000 0.308 1
Er2 0.000 0.500 0.121 1
```

The following is a computed PXRD pattern of Na12Tl2Pb. It was derived from a structure optimized by DFT (GGA-PBE), using CuKα.
No peak broadening, texture or thermal motion is included.

Most intense lines, 10° ≤ 2θ ≤ 90°, low angle first:
2θ/deg  I (rel.)  hkl
11.0  732  0 0 3
14.7  552  0 0 4
18.9  921  1 1 0
21.9  696  1 1 3
24.0  1000  1 1 4
26.8  434  2 0 0
29.1  490  2 0 3
30.7  710  2 0 4
32.3  821  1 1 7
38.3  406  2 2 0
45.7  382  3 1 4
50.9  383  3 1 7

Cell and atoms:
```
data_Na12Tl2Pb
_chemical_formula_sum 'Na24 Tl4 Pb2'
_cell_length_a 6.644
_cell_length_b 6.644
_cell_length_c 24.053
_cell_angle_alpha 90.00
_cell_angle_beta 90.00
_cell_angle_gamma 90.00
_space_group_name_H-M_alt 'P 4/n b m'
_space_group_IT_number 125
loop_
_space_group_symop_operation_xyz
'x,y,z'
'-x,-y,-z'
'-y+1/2,x,z'
'y+1/2,-x,-z'
'-x+1/2,-y+1/2,z'
'x+1/2,y+1/2,-z'
'y,-x+1/2,z'
'-y,x+1/2,-z'
'x,-y+1/2,-z'
'-x,y+1/2,z'
'-y+1/2,-x+1/2,-z'
'y+1/2,x+1/2,z'
'-x+1/2,y,-z'
'x+1/2,-y,z'
'y,x,-z'
'-y,-x,z'
loop_
_atom_site_label
_atom_site_fract_x
_atom_site_fract_y
_atom_site_fract_z
_atom_site_occupancy
Na1 0.000 0.000 0.092 1
Na2 0.074 0.574 0.434 1
Na3 0.250 0.250 0.207 1
Na4 0.250 0.250 0.333 1
Tl1 0.250 0.750 0.278 1
Pb1 0.250 0.750 0.000 1
```

- Number 1 is which compound?
  Er2HgRh